The following is a computed X-ray diffraction stick pattern of Mn2GaAu8. It was derived from a GGA-PBE-relaxed structure, using Cu Kα (λ = 1.5418 Å).

Peak list (8 most intense, 10° ≤ 2θ ≤ 90°, sorted by position)
| 2θ/deg | intensity |
| --- | --- |
| 37.9 | 100 |
| 42.7 | 19 |
| 42.9 | 18 |
| 46.4 | 13 |
| 62.2 | 12 |
| 64.9 | 14 |
| 75.1 | 14 |
| 75.4 | 6 |

Atomic structure:
```
11
Lattice="7.2379 -2.1156 0.0000 7.2379 2.1156 0.0000 -2.1066 0.0000 6.2652" Properties=species:S:1:pos:R:3 pbc="T T T"
Mn 2.8885 0.0000 0.9076
Mn 9.4808 0.0000 5.3576
Ga 6.1846 0.0000 3.1326
Au 0.1316 0.0000 1.4452
Au 0.6578 0.0000 4.3979
Au 3.4263 0.0000 3.6751
Au 5.6855 0.0000 0.3124
Au 6.6838 0.0000 5.9529
Au 8.9430 0.0000 2.5901
Au 11.7115 0.0000 1.8673
Au 12.2377 0.0000 4.8200
```



The following is a computed X-ray diffraction stick pattern of CaZrTa. It was derived from a GGA-PBE-relaxed structure, using Cu Kα (λ = 1.5418 Å).

Peak list (8 most intense, 10° ≤ 2θ ≤ 90°, sorted by position)
| 2θ/deg | intensity |
| --- | --- |
| 16.0 | 100 |
| 22.2 | 25 |
| 32.0 | 97 |
| 35.3 | 93 |
| 37.5 | 62 |
| 39.0 | 45 |
| 42.1 | 28 |
| 57.6 | 35 |

Atomic structure:
```
3
Lattice="-1.5769 2.1461 5.5389 1.5769 -2.1461 5.5389 1.5769 2.1461 -5.5389" Properties=species:S:1:pos:R:3 pbc="T T T"
Ca 0.0000 0.0000 0.0000
Zr 0.0000 0.0000 3.3112
Ta 0.0000 0.0000 7.6338
```



The following is a computed X-ray diffraction stick pattern of Li2SnO2F6. It was derived from a GGA-PBE-relaxed structure, using Cu Kα (λ = 1.5418 Å).

Peak list (8 most intense, 10° ≤ 2θ ≤ 90°, sorted by position)
| 2θ/deg | intensity |
| --- | --- |
| 16.1 | 100 |
| 18.6 | 20 |
| 20.0 | 16 |
| 24.3 | 34 |
| 25.1 | 34 |
| 28.1 | 19 |
| 37.3 | 42 |
| 38.7 | 14 |

Atomic structure:
```
11
Lattice="4.4487 -3.4937 0.0000 4.4487 3.4937 0.0000 -0.2300 0.0000 4.7783" Properties=species:S:1:pos:R:3 pbc="T T T"
Li 2.2243 1.7468 0.0000
Li 2.2243 -1.7468 0.0000
Sn -0.1150 0.0000 2.3892
O 3.1423 0.0000 0.8094
O 5.5251 0.0000 3.9690
F 3.3568 2.0713 3.3900
F 1.3553 0.0000 3.7960
F 5.3106 2.0713 1.3884
F 3.3568 -2.0713 3.3900
F 7.3120 0.0000 0.9824
F 5.3106 -2.0713 1.3884
```



The following is a computed X-ray diffraction stick pattern of Y2Ge5Ir3. It was derived from a GGA-PBE-relaxed structure, using Cu Kα (λ = 1.5418 Å).

Peak list (8 most intense, 10° ≤ 2θ ≤ 90°, sorted by position)
| 2θ/deg | intensity |
| --- | --- |
| 22.8 | 32 |
| 24.2 | 38 |
| 31.8 | 33 |
| 33.6 | 91 |
| 34.4 | 62 |
| 35.1 | 50 |
| 42.8 | 100 |
| 46.3 | 40 |

Atomic structure:
```
20
Lattice="-5.1526 5.8935 3.0242 5.1526 -5.8935 3.0242 5.1526 5.8935 -3.0242" Properties=species:S:1:pos:R:3 pbc="T T T"
Y 2.3190 1.5843 0.0000
Y 2.3190 -1.5843 3.0242
Y 2.8336 7.4778 0.0000
Y 2.8336 4.3092 3.0242
Ge 5.1526 -2.6335 1.5121
Ge 6.8243 1.1546 0.0000
Ge 0.0000 0.0000 1.5121
Ge 1.6717 4.7389 0.0000
Ge 5.1526 2.6335 1.5121
Ge 0.0000 3.2600 1.5121
Ge 3.4809 1.1546 3.0242
Ge 0.0000 0.0000 4.5363
Ge -1.6717 4.7389 3.0242
Ge 0.0000 8.5271 1.5121
Ir 4.0049 -4.2193 3.0242
Ir 5.1526 0.0000 1.5121
Ir 4.0049 4.2193 0.0000
Ir 1.1477 1.6743 3.0242
Ir 0.0000 5.8935 1.5121
Ir 1.1477 10.1128 0.0000
```



The following is a computed X-ray diffraction stick pattern of CsSiS2O8. It was derived from a GGA-PBE-relaxed structure, using Cu Kα (λ = 1.5418 Å).

Peak list (8 most intense, 10° ≤ 2θ ≤ 90°, sorted by position)
| 2θ/deg | intensity |
| --- | --- |
| 20.2 | 30 |
| 21.7 | 42 |
| 23.0 | 44 |
| 23.1 | 100 |
| 28.0 | 86 |
| 29.7 | 38 |
| 37.2 | 36 |
| 41.7 | 24 |

Atomic structure:
```
12
Lattice="4.1148 -2.6144 0.0000 4.1148 2.6144 0.0000 -0.9380 0.0000 8.7135" Properties=species:S:1:pos:R:3 pbc="T T T"
Cs 0.0000 0.0000 0.0000
Si -0.4690 0.0000 4.3568
S 2.4375 0.0000 5.9086
S 4.8541 0.0000 2.8050
O 1.3973 0.0000 4.8236
O 3.3163 1.2367 5.7121
O 3.9754 1.2367 3.0014
O 1.8511 0.0000 7.2494
O 5.4405 0.0000 1.4641
O 3.3163 -1.2367 5.7121
O 3.9754 -1.2367 3.0014
O 5.8943 0.0000 3.8899
```



The following is a computed X-ray diffraction stick pattern of TmCu2Pt4. It was derived from a GGA-PBE-relaxed structure, using Cu Kα (λ = 1.5418 Å).

Peak list (8 most intense, 10° ≤ 2θ ≤ 90°, sorted by position)
| 2θ/deg | intensity |
| --- | --- |
| 22.6 | 40 |
| 39.4 | 52 |
| 40.1 | 100 |
| 40.2 | 50 |
| 46.2 | 34 |
| 46.4 | 33 |
| 46.7 | 32 |
| 67.2 | 22 |

Atomic structure:
```
7
Lattice="4.7724 0.0000 0.0000 0.0265 5.4777 0.0000 1.6311 2.7269 4.5734" Properties=species:S:1:pos:R:3 pbc="T T T"
Tm 0.0000 0.0000 0.0000
Cu 3.1348 5.4689 2.3939
Cu 3.2952 2.7357 2.1795
Pt 0.8155 1.3634 2.2867
Pt 0.8288 4.1023 2.2867
Pt 2.3876 1.4246 0.0034
Pt 4.0424 6.7801 4.5700
```



The following is a computed X-ray diffraction stick pattern of ZnCd6Ga2. It was derived from a GGA-PBE-relaxed structure, using Cu Kα (λ = 1.5418 Å).

Peak list (8 most intense, 10° ≤ 2θ ≤ 90°, sorted by position)
| 2θ/deg | intensity |
| --- | --- |
| 29.8 | 16 |
| 32.6 | 43 |
| 34.0 | 100 |
| 39.8 | 28 |
| 41.0 | 34 |
| 41.4 | 32 |
| 42.5 | 24 |
| 71.5 | 14 |

Atomic structure:
```
9
Lattice="3.4219 -6.3748 0.0000 3.4219 6.3748 0.0000 -1.1114 0.0000 4.4899" Properties=species:S:1:pos:R:3 pbc="T T T"
Zn 0.0000 0.0000 0.0000
Cd 1.9943 2.1218 0.9186
Cd 1.5609 0.0000 3.1797
Cd 1.9943 -2.1218 0.9186
Cd 3.7381 2.1218 3.5714
Cd 4.1715 0.0000 1.3103
Cd 3.7381 -2.1218 3.5714
Ga 2.8662 4.6524 2.2450
Ga 2.8662 -4.6524 2.2450
```



The following is a computed X-ray diffraction stick pattern of AlGaHg. It was derived from a GGA-PBE-relaxed structure, using Cu Kα (λ = 1.5418 Å).

Peak list (8 most intense, 10° ≤ 2θ ≤ 90°, sorted by position)
| 2θ/deg | intensity |
| --- | --- |
| 14.1 | 45 |
| 19.5 | 53 |
| 29.8 | 66 |
| 30.6 | 82 |
| 31.6 | 100 |
| 35.9 | 53 |
| 43.2 | 69 |
| 43.9 | 80 |

Atomic structure:
```
6
Lattice="3.0003 0.0000 0.0000 0.0000 6.2807 0.0000 0.0000 0.0000 6.5930" Properties=species:S:1:pos:R:3 pbc="T T T"
Al 0.0000 1.5247 0.0000
Al 0.0000 4.7560 3.2965
Ga 1.5002 0.5029 2.1039
Ga 1.5002 5.7779 5.4004
Hg 1.5002 2.4459 4.2050
Hg 1.5002 3.8348 0.9085
```